Record 1
# NbSiIr
Computed powder diffractogram, Cu Ka. Input: a PBE-relaxed structure.

```
data_NbSiIr
_symmetry_space_group_name_H-M 'P 1'
_symmetry_Int_Tables_number 1
_cell_length_a 6.466
_cell_length_b 3.818
_cell_length_c 7.336
_cell_angle_alpha 90.00
_cell_angle_beta 90.00
_cell_angle_gamma 90.00
loop_
_symmetry_equiv_pos_as_xyz
'x,y,z'
loop_
_atom_site_label
_atom_site_type_symbol
_atom_site_fract_x
_atom_site_fract_y
_atom_site_fract_z
Nb1 Nb 0.024 0.250 0.172
Nb2 Nb 0.476 0.750 0.672
Nb3 Nb 0.524 0.250 0.328
Nb4 Nb 0.976 0.750 0.828
Si1 Si 0.230 0.750 0.375
Si2 Si 0.270 0.250 0.875
Si3 Si 0.730 0.750 0.125
Si4 Si 0.770 0.250 0.625
Ir1 Ir 0.146 0.250 0.563
Ir2 Ir 0.354 0.750 0.063
Ir3 Ir 0.646 0.250 0.937
Ir4 Ir 0.854 0.750 0.437
```

Principal peaks in the range 5° ≤ 2θ ≤ 70°, in order of rising 2θ:
2θ/deg  I (rel.)
18.29  41
27.97  30
29.78  79
36.41  79
36.71  100
38.50  46
43.77  50
43.97  47
47.64  43
66.68  29

Record 2
# NdGa2Cu2
Computed powder diffractogram, Cu Ka. Input: a PBE-relaxed structure.

```
data_NdGa2Cu2
_symmetry_space_group_name_H-M 'P 1'
_symmetry_Int_Tables_number 1
_cell_length_a 6.016
_cell_length_b 6.016
_cell_length_c 6.016
_cell_angle_alpha 139.63
_cell_angle_beta 139.63
_cell_angle_gamma 58.42
loop_
_symmetry_equiv_pos_as_xyz
'x,y,z'
loop_
_atom_site_label
_atom_site_type_symbol
_atom_site_fract_x
_atom_site_fract_y
_atom_site_fract_z
Nd1 Nd 0.000 0.000 0.000
Ga1 Ga 0.250 0.750 0.500
Ga2 Ga 0.750 0.250 0.500
Cu1 Cu 0.384 0.384 0.000
Cu2 Cu 0.616 0.616 0.000
```

Principal peaks in the range 5° ≤ 2θ ≤ 70°, in order of rising 2θ:
2θ/deg  I (rel.)
30.45  14
33.48  61
35.02  100
43.60  53
46.40  9
48.58  29
56.07  27
61.70  12
63.36  17
67.31  21

Record 3
# Nd2Cu4Sn5
Computed powder diffractogram, Cu Ka. Input: a PBE-relaxed structure.

```
data_Nd2Cu4Sn5
_symmetry_space_group_name_H-M 'P 1'
_symmetry_Int_Tables_number 1
_cell_length_a 12.632
_cell_length_b 12.632
_cell_length_c 12.632
_cell_angle_alpha 159.39
_cell_angle_beta 159.39
_cell_angle_gamma 29.31
loop_
_symmetry_equiv_pos_as_xyz
'x,y,z'
loop_
_atom_site_label
_atom_site_type_symbol
_atom_site_fract_x
_atom_site_fract_y
_atom_site_fract_z
Nd1 Nd 0.000 0.000 0.000
Nd2 Nd 0.318 0.318 0.000
Cu1 Cu 0.410 0.910 0.500
Cu2 Cu 0.449 0.449 0.000
Cu3 Cu 0.545 0.545 0.000
Cu4 Cu 0.910 0.410 0.500
Sn1 Sn 0.104 0.604 0.500
Sn2 Sn 0.222 0.722 0.500
Sn3 Sn 0.604 0.104 0.500
Sn4 Sn 0.722 0.222 0.500
Sn5 Sn 0.850 0.850 0.000
```

Principal peaks in the range 5° ≤ 2θ ≤ 70°, in order of rising 2θ:
2θ/deg  I (rel.)
28.88  69
31.59  38
32.40  30
35.71  100
39.89  88
46.79  20
55.37  20
57.69  30
68.06  26
69.73  29